Theoretical powder diffraction line list
Compound: Li2VCrP2O8F2
Radiation: CuKα
Structure: DFT lattice parameters and positions (GGA+U)

Most intense lines, 2θ = 10–90°, in order of rising 2θ:
Position (°2θ)  I/Imax
17.8  32
18.4  38
18.5  59
22.3  27
25.8  28
26.5  28
26.6  73
26.8  92
29.0  100
36.3  33

Structural model:
```
32
Lattice="5.2218 0.0000 0.0000 -2.3463 6.9725 0.0000 -1.4062 -3.1731 9.9442" Properties=species:S:1:pos:R:3 pbc="T T T"
Li -0.5162 -0.1536 3.0557
Li 1.2514 2.0390 1.9099
Li 0.2179 1.7603 8.0343
Li 1.9856 3.9530 6.8885
V -1.1731 3.4862 0.0000
V 0.7347 1.8997 4.9721
Cr 0.0000 0.0000 0.0000
Cr 1.9078 -1.5866 4.9721
P -1.9820 0.9159 6.7551
P 1.3067 -2.2009 8.1589
P 0.1626 6.0002 1.7853
P 3.4513 2.8835 3.1891
O -1.5852 0.7496 8.2485
O -1.6552 4.2235 3.9102
O -0.4468 2.0423 3.3090
O -2.2108 3.9145 8.7104
O -0.8040 1.7738 6.2035
O 1.1683 -0.1546 1.6591
O 0.0507 4.6496 1.0626
O 0.9241 -2.0410 6.6623
O 0.5452 5.8404 3.2819
O 1.4186 -0.8503 8.8816
O 0.3010 3.9539 8.2851
O 2.2734 2.0255 3.7407
O 3.6802 -0.1151 1.2338
O 1.9161 1.7571 6.6352
O 3.1245 -0.4242 6.0341
O 3.0546 3.0497 1.6957
F 0.1187 1.9390 0.3569
F 0.6381 -0.1032 4.6173
F 0.8312 3.9025 5.3269
F 1.3507 1.8603 9.5873
```


Theoretical powder diffraction line list
Compound: Li9Mn2Co5O16
Radiation: CuKα
Structure: DFT lattice parameters and positions (GGA+U)

Most intense lines, 2θ = 10–90°, in order of rising 2θ:
Position (°2θ)  I/Imax
12.0  8
18.3  100
35.3  15
36.4  26
42.6  29
44.2  53
47.6  9
58.1  9
62.8  15
63.2  15

Structural model:
```
32
Lattice="5.1378 -5.7544 0.0000 5.1378 5.7544 0.0000 -1.8473 0.0000 4.8349" Properties=species:S:1:pos:R:3 pbc="T T T"
Li 0.0000 0.0000 0.0000
Li 0.6598 1.4282 4.7940
Li 5.1378 2.8389 0.0000
Li 0.7303 -1.4862 4.8282
Li 5.1378 -0.0610 0.0000
Li 7.7684 1.4282 0.0409
Li 5.1378 -2.9164 0.0000
Li 4.2141 -4.3361 2.4174
Li 7.6979 -1.4862 0.0067
Mn 1.6127 -0.0543 2.4471
Mn 6.8155 -0.0543 2.3878
Co 4.2141 4.2685 2.4174
Co 4.2141 1.4221 2.4174
Co 1.7297 -2.9327 2.4077
Co 4.2141 -1.4857 2.4174
Co 6.6984 -2.9327 2.4272
O 0.9510 1.3705 1.2926
O 3.4207 2.8503 1.3330
O -0.0218 -0.1139 3.4575
O 2.4213 1.3369 3.5593
O 0.8971 -1.4406 1.3014
O 5.0075 2.8503 3.5018
O 3.3088 -0.0499 1.4163
O 2.4095 -1.4217 3.5695
O 6.0069 1.3369 1.2756
O 3.3755 -2.8082 1.3331
O 5.1194 -0.0499 3.4185
O 7.4772 1.3705 3.5423
O 6.0186 -1.4217 1.2654
O 5.0526 -2.8082 3.5017
O 8.4500 -0.1139 1.3774
O 7.5311 -1.4406 3.5335
```


Theoretical powder diffraction line list
Compound: Na5Co2PC4O16
Radiation: CuKα
Structure: DFT lattice parameters and positions (GGA+U)

Most intense lines, 2θ = 10–90°, in order of rising 2θ:
Position (°2θ)  I/Imax
10.9  100
17.8  31
20.8  75
21.0  31
21.1  82
32.8  49
33.2  74
33.3  50
36.0  76
56.8  28

Structural model:
```
56
Lattice="7.0001 -7.1093 0.0000 7.0001 7.1093 0.0000 -6.9365 0.0000 7.0065" Properties=species:S:1:pos:R:3 pbc="T T T"
Na 1.7977 5.8716 5.2549
Na 1.8319 1.8091 1.2336
Na -2.2149 1.8077 5.3253
Na -1.6363 -1.8091 4.7368
Na 1.2534 -1.8077 1.8221
Na 5.8103 1.8077 5.1844
Na 8.7000 1.8091 2.2697
Na 9.2786 -1.8077 1.6812
Na 5.2317 -1.8091 5.7729
Na 5.2660 -5.8716 1.7516
Co 0.0318 3.5547 3.5032
Co 3.5001 -3.5547 0.0000
Co 7.0001 0.0000 0.0000
Co 3.5318 0.0000 3.5032
P 5.2660 5.3424 1.7516
P 1.7977 -5.3424 5.2549
C 0.5245 0.5079 3.9695
C 0.5487 3.0483 6.5119
C 3.0467 3.0483 3.9978
C 3.9928 -0.5079 0.4663
C 3.0709 0.5079 6.5402
C 4.0170 -3.0483 3.0087
C 6.5149 -3.0483 0.4946
C 6.5392 -0.5079 3.0370
O 4.3456 4.4703 0.8517
O 6.1594 6.2489 0.8407
O 4.3725 6.2489 2.6625
O 0.2816 1.4902 3.1532
O -0.2977 3.2753 5.5496
O 2.0885 3.9014 3.7620
O -0.2919 0.2851 4.9664
O 1.5069 3.9014 6.7477
O 3.1742 2.0069 3.2360
O 6.1864 4.4703 2.6516
O -3.1866 -1.4902 6.6565
O 3.1764 -0.2851 1.4631
O 4.9892 0.2912 0.2432
O 1.5209 -0.2912 3.7464
O 3.8931 3.2753 4.9601
O 7.3577 2.0069 0.2672
O -0.2941 -2.0069 6.7393
O 3.1706 -3.2753 2.0464
O 5.5428 0.2912 3.2601
O 2.0745 -0.2912 6.7633
O 3.8873 0.2851 5.5434
O 10.2503 1.4902 0.3500
O 0.8773 -4.4703 4.3549
O 3.8895 -2.0069 3.7705
O 5.5568 -3.9014 0.2588
O 7.3556 -0.2851 2.0401
O 4.9752 -3.9014 3.2444
O 7.3614 -3.2753 1.4569
O 6.7821 -1.4902 3.8533
O 2.6912 -6.2489 4.3440
O 0.9042 -6.2489 6.1658
O 2.7181 -4.4703 6.1548
```


Theoretical powder diffraction line list
Compound: Y2MnFeO6
Radiation: CuKα
Structure: DFT lattice parameters and positions (GGA+U)

Most intense lines, 2θ = 10–90°, in order of rising 2θ:
Position (°2θ)  I/Imax
25.5  44
30.9  40
32.7  100
32.9  94
33.5  46
46.2  38
47.7  31
47.9  44
51.8  33
59.6  35

Structural model:
```
20
Lattice="5.3488 0.0000 0.0000 0.0000 5.7928 0.0000 -5.3013 0.0000 7.5977" Properties=species:S:1:pos:R:3 pbc="T T T"
Y -0.0884 0.4462 1.8998
Y -2.7391 2.4502 5.6987
Y 2.7866 3.3426 1.8990
Y 0.1359 5.3466 5.6979
Mn 2.6744 0.0000 0.0000
Mn 0.0237 2.8964 3.7989
Fe -2.6507 0.0000 3.7989
Fe 0.0000 2.8964 0.0000
O -4.2648 1.0805 7.1815
O -1.6141 1.8159 3.3826
O -3.6904 3.9244 7.1455
O -1.0398 4.7648 3.3467
O -2.0295 0.2253 5.7340
O 0.6212 2.6711 1.9352
O -0.5737 3.1217 5.6626
O 2.0770 5.5675 1.8637
O 1.0873 1.0280 4.2511
O 3.7379 1.8684 0.4522
O 1.6616 3.9769 4.2151
O 4.3123 4.7123 0.4162
```


Theoretical powder diffraction line list
Compound: MgMn6O8F4
Radiation: CuKα
Structure: DFT lattice parameters and positions (GGA+U)

Most intense lines, 2θ = 10–90°, in order of rising 2θ:
Position (°2θ)  I/Imax
23.1  57
27.9  100
33.2  34
34.1  56
34.8  40
34.9  45
35.3  45
54.6  32
60.2  30
61.2  31

Structural model:
```
19
Lattice="3.0606 0.0000 0.0000 0.0026 5.2374 0.0000 0.0060 2.5904 14.1624" Properties=species:S:1:pos:R:3 pbc="T T T"
Mg 0.0000 0.0000 0.0000
Mn 1.5088 1.7625 9.3929
Mn 1.5090 6.0725 4.7753
Mn 1.5309 2.6184 0.0013
Mn 3.0456 4.4355 11.0643
Mn 3.0437 3.9159 7.0825
Mn 3.0405 3.4015 3.0996
O 3.0669 4.3996 13.1477
O 1.5093 2.3168 3.5151
O 1.5128 3.1277 8.0304
O 1.5142 5.5231 10.6593
O 1.5133 4.7022 6.1328
O 3.0247 2.6236 10.2789
O 3.0253 5.2148 3.8859
O 3.0611 3.4293 1.0167
F 1.5307 0.7305 1.0568
F 1.5383 7.0971 13.1084
F 3.0593 1.8816 5.7178
F 3.0634 5.9454 8.4544
```


Theoretical powder diffraction line list
Compound: Li5Nb2Co5O12
Radiation: CuKα
Structure: DFT lattice parameters and positions (GGA+U)

Most intense lines, 2θ = 10–90°, in order of rising 2θ:
Position (°2θ)  I/Imax
18.0  53
19.4  36
23.5  45
30.9  19
36.5  45
41.8  100
43.5  43
61.8  25
62.1  25
77.4  17

Structural model:
```
24
Lattice="2.5732 -4.5866 0.0000 2.5732 4.5866 0.0000 -2.0233 0.0000 9.8626" Properties=species:S:1:pos:R:3 pbc="T T T"
Li 0.0000 0.0000 0.0000
Li -0.2773 -0.0379 7.4581
Li 0.8048 -1.3517 2.3824
Li 3.4004 -0.0379 2.4045
Li 2.3183 -1.3517 7.4803
Nb 2.5732 1.5433 0.0000
Nb 1.5616 -2.9185 4.9313
Co 0.7917 1.5564 2.4592
Co 1.5616 3.2008 4.9313
Co 1.5616 0.1205 4.9313
Co 2.3314 1.5564 7.4035
Co 2.5732 -1.4843 0.0000
O 1.7238 3.0050 1.1669
O -0.2214 0.1723 3.7306
O 0.6493 1.7051 6.1117
O 1.3994 3.0050 8.6958
O 1.7472 0.1161 1.1770
O 2.4738 1.7051 3.7509
O 0.6986 -1.5260 6.1472
O 1.3759 0.1161 8.6856
O 1.6404 -3.0081 1.1710
O 2.4246 -1.5260 3.7154
O 3.3446 0.1723 6.1320
O 1.4828 -3.0081 8.6916
```


Theoretical powder diffraction line list
Compound: Rb2NaMnF6
Radiation: CuKα
Structure: DFT lattice parameters and positions (GGA+U)

Most intense lines, 2θ = 10–90°, in order of rising 2θ:
Position (°2θ)  I/Imax
17.9  12
29.4  100
36.2  34
42.0  52
52.1  38
60.9  30
69.1  18
73.0  10
76.8  9
84.2  21

Structural model:
```
10
Lattice="0.0000 4.3008 4.3008 4.3008 0.0000 4.3008 4.3008 4.3008 0.0000" Properties=species:S:1:pos:R:3 pbc="T T T"
Rb 2.1504 2.1504 2.1504
Rb 6.4512 6.4512 6.4512
Na 0.0000 0.0000 0.0000
Mn 4.3008 4.3008 4.3008
F 4.3008 4.3008 2.3345
F 4.3008 2.3345 4.3008
F 6.2671 4.3008 4.3008
F 2.3345 4.3008 4.3008
F 4.3008 6.2671 4.3008
F 4.3008 4.3008 6.2671
```


Theoretical powder diffraction line list
Compound: Li7Mn16O32
Radiation: CuKα
Structure: DFT lattice parameters and positions (GGA+U)

Most intense lines, 2θ = 10–90°, in order of rising 2θ:
Position (°2θ)  I/Imax
18.3  100
18.4  28
35.0  15
35.5  14
35.8  9
35.9  9
42.3  24
43.1  23
43.8  22
62.0  14

Structural model:
```
55
Lattice="8.3900 0.0000 0.0000 -0.0088 8.5467 0.0000 -4.1620 -4.2256 8.2673" Properties=species:S:1:pos:R:3 pbc="T T T"
Li 0.0000 0.0000 0.0000
Li -2.1903 2.0581 6.2254
Li -0.0337 4.2552 4.1058
Li 1.9998 2.0776 2.0490
Li 2.0334 -2.2073 6.2242
Li 4.1913 0.0061 4.1150
Li 6.2328 6.3131 2.0358
Mn -3.1865 -1.1241 7.2269
Mn -1.0600 1.0512 3.1323
Mn 1.0077 5.2452 1.0337
Mn -1.0703 -1.0884 5.2070
Mn -1.1415 -3.2356 7.2423
Mn 1.0045 -1.1148 3.1417
Mn 3.0031 7.4689 1.0323
Mn 1.0205 1.0806 5.1867
Mn 3.0969 5.2725 3.0327
Mn 1.0221 3.2064 7.2307
Mn 5.1804 1.0210 1.0255
Mn 3.1302 3.1685 5.1260
Mn 5.2083 3.1597 3.0394
Mn 3.1318 1.0622 7.2255
Mn 5.2001 5.3134 5.1110
Mn 7.3181 3.0938 1.0164
O -1.2706 3.2150 2.9595
O -3.2891 0.8261 7.3295
O -3.0819 -3.0779 7.0578
O -0.9660 -1.1211 3.2934
O 0.8511 3.1009 0.8697
O -1.1747 5.4850 5.2801
O -0.9415 0.8858 5.1307
O 1.0950 7.4180 1.2070
O -1.2322 -1.2755 7.1426
O -1.1858 3.3749 7.3698
O 0.8870 1.0486 3.2944
O 1.2001 5.2555 2.9779
O 3.0221 0.8578 0.8924
O 0.9101 -0.9166 5.1229
O 2.9746 5.5165 1.1274
O 1.1490 3.0448 5.2300
O 0.7959 -3.3623 7.2934
O 3.0184 -1.2934 3.0108
O 1.1991 1.2618 7.1193
O 3.2326 3.2970 3.1213
O 4.9854 7.5859 0.9547
O 2.9765 1.2090 5.2038
O 3.1912 5.1248 4.9909
O 5.3702 2.9780 1.1130
O 5.0681 5.1422 3.1601
O 3.1665 3.2094 6.9910
O 5.3275 1.2131 3.0119
O 3.2817 -1.1485 7.3421
O 5.0488 3.1535 4.9669
O 7.3999 5.0694 0.9241
O 7.3258 1.1786 1.1969
O 5.3893 -1.0734 5.2847
```